# CeSm3Ho
Calculated X-ray powder pattern, Cu Ka. Input: the GGA-PBE geometry in Alexandria.
Intensities are scaled so that the largest is 1000.

Cell and atoms:
Unit cell a=6.7683 b=9.1423 c=11.7971 alpha=101.46 beta=105.28 gamma=105.98
Space group P-1 (No. 2)
Symmetry-distinct sites (fractional):
Ce1 0.1868 0.0053 0.4655 x2
Ce2 0.2513 0.7178 0.4410 x2
Sm1 0.0797 0.2240 0.8286 x2
Sm2 0.1009 0.7254 0.6740 x2
Sm3 0.1514 0.4707 0.1309 x2
Sm4 0.3229 0.4093 0.6149 x2
Sm5 0.3282 0.2092 0.2654 x2
Sm6 0.4934 0.8799 0.2430 x2
Ho1 0.2161 0.9467 0.9729 x2
Ho2 0.4173 0.6373 0.9308 x2

Peak list (10 most intense, 2θ = 5–70°, in order of rising 2θ)
- 2.935 Å, 2θ 30.5, intensity 418
- 2.872 Å, 2θ 31.1, intensity 1000
- 2.854 Å, 2θ 31.3, intensity 571
- 2.843 Å, 2θ 31.5, intensity 873
- 2.825 Å, 2θ 31.7, intensity 802
- 2.793 Å, 2θ 32.0, intensity 404
- 2.793 Å, 2θ 32.1, intensity 546
- 2.779 Å, 2θ 32.2, intensity 293
- 2.761 Å, 2θ 32.4, intensity 515
- 1.598 Å, 2θ 57.7, intensity 295